# 1
Starting from a DFT-relaxed cell (PBE, OQMD), the powder X-ray diffraction pattern of ErTmNi2As2 was computed for λ = 1.5418 Å (Cu Kα).
Intensities are scaled so that the largest is 100.

Principal peaks in the range 2θ = 10–80°, sorted by position:
Position (°2θ)	d_spacing	I/Imax	index
25.46	3.498	18	1 0 0
35.01	2.563	100	1 0 4
44.88	2.020	42	1 1 0
48.34	1.883	11	0 0 8
55.42	1.658	5	1 0 8
58.16	1.586	23	2 0 4
68.08	1.377	22	1 1 8
76.34	1.247	21	2 1 4

```
data_ErTmNi2As2
_symmetry_space_group_name_H-M 'P 63/m m c'
_symmetry_Int_Tables_number 194
_symmetry_space_group_name_Hall '-P 6c 2c'
_cell_length_a 4.0392
_cell_length_b 4.0392
_cell_length_c 15.0619
_cell_angle_alpha 90.00
_cell_angle_beta 90.00
_cell_angle_gamma 120.00
loop_
_atom_site_label
_atom_site_type_symbol
_atom_site_fract_x
_atom_site_fract_y
_atom_site_fract_z
_atom_site_occupancy
Er1 Er 0.0000 0.0000 0.0000 1
Tm1 Tm 0.0000 0.0000 0.2500 1
Ni1 Ni 0.3333 0.6667 0.1351 1
As1 As 0.3333 0.6667 0.6202 1
```

***

# 2
Starting from a DFT-relaxed cell (PBE, OQMD), the powder X-ray diffraction pattern of Cu9Sb was computed for λ = 1.5418 Å (Cu Kα).
Intensities are scaled so that the largest is 100.

Principal peaks in the range 2θ = 10–80°, sorted by position:
Position (°2θ)	d_spacing	I/Imax	index
39.78	2.266	12	0 1 13
42.39	2.132	100	1 1 0
43.57	2.077	62	0 1 15
45.56	1.991	17	0 1 16
48.63	1.872	43	1 0 15
50.46	1.809	12	1 0 16
52.81	1.734	25	0 2 0
74.60	1.272	22	1 2 15

```
data_Cu9Sb
_symmetry_space_group_name_H-M 'P m m n'
_symmetry_Int_Tables_number 59
_cell_length_a 2.7054
_cell_length_b 3.4679
_cell_length_c 38.9098
_cell_angle_alpha 90.00
_cell_angle_beta 90.00
_cell_angle_gamma 90.00
loop_
_symmetry_equiv_pos_as_xyz
'x,y,z'
'-x,-y,-z'
'-x+1/2,-y+1/2,z'
'x+1/2,y+1/2,-z'
'x+1/2,-y,-z'
'-x+1/2,y,z'
'-x,y+1/2,-z'
'x,-y+1/2,z'
loop_
_atom_site_label
_atom_site_type_symbol
_atom_site_fract_x
_atom_site_fract_y
_atom_site_fract_z
_atom_site_occupancy
Cu1 Cu 0.2500 0.2500 0.0162 1
Cu2 Cu 0.2500 0.2500 0.0809 1
Cu3 Cu 0.2500 0.2500 0.1460 1
Cu4 Cu 0.2500 0.2500 0.2115 1
Cu5 Cu 0.2500 0.2500 0.2776 1
Cu6 Cu 0.2500 0.2500 0.7554 1
Cu7 Cu 0.2500 0.2500 0.8213 1
Cu8 Cu 0.2500 0.2500 0.8866 1
Cu9 Cu 0.2500 0.2500 0.9515 1
Sb1 Sb 0.2500 0.2500 0.6775 1
```

***

# 3
Starting from a DFT-relaxed cell (PBE, OQMD), the powder X-ray diffraction pattern of CuTcBPt was computed for λ = 1.5418 Å (Cu Kα).
Intensities are scaled so that the largest is 100.

Principal peaks in the range 2θ = 10–80°, sorted by position:
Position (°2θ)	d_spacing	I/Imax	index
26.25	3.395	65	1 1 1
30.40	2.941	1	2 0 0
43.53	2.079	100	2 2 0
51.54	1.773	32	3 1 1
63.25	1.470	16	4 0 0
69.69	1.349	13	3 3 1
79.91	1.200	33	4 2 2

```
data_CuTcBPt
_symmetry_space_group_name_H-M 'F -4 3 m'
_symmetry_Int_Tables_number 216
_symmetry_space_group_name_Hall 'F -4 2 3'
_cell_length_a 5.8811
_cell_length_b 5.8811
_cell_length_c 5.8811
_cell_angle_alpha 90.00
_cell_angle_beta 90.00
_cell_angle_gamma 90.00
loop_
_atom_site_label
_atom_site_type_symbol
_atom_site_fract_x
_atom_site_fract_y
_atom_site_fract_z
_atom_site_occupancy
Cu1 Cu 0.0000 0.0000 0.0000 1
Tc1 Tc 0.0000 0.0000 0.5000 1
B1 B 0.2500 0.2500 0.7500 1
Pt1 Pt 0.2500 0.2500 0.2500 1
```

***

# 4
Starting from a DFT-relaxed cell (PBE, OQMD), the powder X-ray diffraction pattern of Zr2SeN2 was computed for λ = 1.5418 Å (Cu Kα).
Intensities are scaled so that the largest is 100.

Principal peaks in the range 2θ = 10–80°, sorted by position:
Position (°2θ)	d_spacing	I/Imax	index
28.91	3.089	61	1 0 1
31.25	2.863	100	1 0 2
34.83	2.576	91	1 0 3
39.36	2.289	89	1 0 4
41.01	2.201	36	0 0 6
49.71	1.834	78	1 1 0
56.76	1.622	30	1 0 7
66.35	1.409	48	1 1 6

```
data_Zr2SeN2
_symmetry_space_group_name_H-M 'P 63/m m c'
_symmetry_Int_Tables_number 194
_symmetry_space_group_name_Hall '-P 6c 2c'
_cell_length_a 3.6682
_cell_length_b 3.6682
_cell_length_c 13.2037
_cell_angle_alpha 90.00
_cell_angle_beta 90.00
_cell_angle_gamma 120.00
loop_
_atom_site_label
_atom_site_type_symbol
_atom_site_fract_x
_atom_site_fract_y
_atom_site_fract_z
_atom_site_occupancy
Zr1 Zr 0.3333 0.6667 0.0989 1
Se1 Se 0.0000 0.0000 0.2500 1
N1 N 0.3333 0.6667 0.5669 1
```

***

# 5
Starting from a DFT-relaxed cell (PBE, OQMD), the powder X-ray diffraction pattern of Mg6CdGa was computed for λ = 1.5418 Å (Cu Kα).
Intensities are scaled so that the largest is 100.

Principal peaks in the range 2θ = 10–80°, sorted by position:
Position (°2θ)	d_spacing	I/Imax	index
16.52	5.367	27	1 0 0
24.06	3.698	52	1 0 1
28.81	3.099	22	1 1 0
33.39	2.684	25	2 0 0
35.17	2.552	27	0 0 2
37.88	2.375	100	2 0 1
64.90	1.437	19	2 0 3
71.20	1.324	19	2 2 2

```
data_Mg6CdGa
_symmetry_space_group_name_H-M 'P -6 m 2'
_symmetry_Int_Tables_number 187
_symmetry_space_group_name_Hall 'P -6 2'
_cell_length_a 6.1974
_cell_length_b 6.1974
_cell_length_c 5.1031
_cell_angle_alpha 90.00
_cell_angle_beta 90.00
_cell_angle_gamma 120.00
loop_
_atom_site_label
_atom_site_type_symbol
_atom_site_fract_x
_atom_site_fract_y
_atom_site_fract_z
_atom_site_occupancy
Mg1 Mg 0.0051 0.5026 0.0000 1
Mg2 Mg 0.3319 0.1659 0.5000 1
Cd1 Cd 0.0000 0.0000 0.0000 1
Ga1 Ga 0.3333 0.6667 0.5000 1
```

***

# 6
Starting from a DFT-relaxed cell (PBE, OQMD), the powder X-ray diffraction pattern of Fe2SeS3 was computed for λ = 1.5418 Å (Cu Kα).
Intensities are scaled so that the largest is 100.

Principal peaks in the range 2θ = 10–80°, sorted by position:
Position (°2θ)	d_spacing	I/Imax	index
25.71	3.465	51	1 0 1
32.75	2.735	100	1 1 0
36.52	2.461	47	1 1 -1
36.88	2.437	38	1 1 1
50.79	1.797	42	2 1 -1
51.35	1.779	53	2 1 1
53.46	1.714	41	0 2 0
56.95	1.617	41	0 1 3

```
data_Fe2SeS3
_symmetry_space_group_name_H-M 'P 1 m 1'
_symmetry_Int_Tables_number 6
_cell_length_a 4.5347
_cell_length_b 3.4287
_cell_length_c 5.5019
_cell_angle_alpha 90.00
_cell_angle_beta 91.14
_cell_angle_gamma 90.00
loop_
_symmetry_equiv_pos_as_xyz
'x,y,z'
'x,-y,z'
loop_
_atom_site_label
_atom_site_type_symbol
_atom_site_fract_x
_atom_site_fract_y
_atom_site_fract_z
_atom_site_occupancy
Fe1 Fe 0.0000 0.0000 0.0000 1
Fe2 Fe 0.4839 0.5000 0.5129 1
Se1 Se 0.7858 0.0000 0.3802 1
S1 S 0.2077 0.0000 0.6388 1
S2 S 0.2865 0.5000 0.1328 1
S3 S 0.7049 0.5000 0.8794 1
```